For LaSbMo2O9, a DFT-relaxed cell (GGA+U, Alexandria) gives the simulated powder XRD pattern in this record (Cu Kα (weighted mean of Kα1 and Kα2)).

Principal peaks in the range 2θ = 10–90°, low angle first:
Position (°2θ), I_rel
22.48, 57
23.62, 21
24.11, 51
25.58, 57
26.75, 100
27.41, 28
31.04, 19
45.71, 26
46.50, 26
49.37, 18

Crystal structure
```
LaSbMo2O9
1.0
6.685 -7.453 0.000
6.685 7.453 0.000
-6.117 0.000 9.333
La Sb Mo O
4 4 8 36
Direct
0.124 0.876 0.750
0.324 0.676 0.250
0.676 0.324 0.750
0.876 0.124 0.250
0.356 0.376 0.461
0.376 0.356 0.961
0.624 0.644 0.039
0.644 0.624 0.539
0.050 0.259 0.025
0.062 0.436 0.696
0.259 0.050 0.525
0.436 0.062 0.196
0.564 0.938 0.804
0.741 0.950 0.475
0.938 0.564 0.304
0.950 0.741 0.975
0.012 0.693 0.488
0.052 0.227 0.174
0.064 0.098 0.900
0.085 0.559 0.250
0.098 0.064 0.400
0.122 0.704 0.061
0.137 0.617 0.719
0.216 0.379 0.802
0.217 0.404 0.074
0.227 0.052 0.674
0.296 0.878 0.439
0.307 0.988 0.012
0.379 0.216 0.302
0.383 0.863 0.781
0.404 0.217 0.574
0.425 0.540 0.403
0.441 0.915 0.250
0.460 0.575 0.097
0.540 0.425 0.903
0.559 0.085 0.750
0.575 0.460 0.597
0.596 0.783 0.426
0.617 0.137 0.219
0.621 0.784 0.698
0.693 0.012 0.988
0.704 0.122 0.561
0.773 0.948 0.326
0.783 0.596 0.926
0.784 0.621 0.198
0.863 0.383 0.281
0.878 0.296 0.939
0.902 0.936 0.600
0.915 0.441 0.750
0.936 0.902 0.100
0.948 0.773 0.826
0.988 0.307 0.512
```